Record 1
This entry pairs a crystal structure of LiFeF4 with its computed X-ray diffraction stick pattern. Radiation: Cu Kα (λ = 1.5418 Å). Structure: a crystal structure in the Materials Project, relaxed with PBE+U.
Peak positions follow from Bragg's law for the DFT cell and can differ from measured ones.

Structure:
```
LiFeF4
1.0
6.9889 0.0000 0.0000
-1.6658 8.2805 0.0000
-2.8930 -1.7566 9.1595
Li Fe F
6 6 24
Cartesian
-0.7782 0.4539 2.5771 Li
-2.0454 4.1714 8.3476 Li
1.2400 1.6574 4.6552 Li
1.1900 4.8665 4.5043 Li
4.4754 2.3525 0.8119 Li
3.2082 6.0700 6.5824 Li
-2.1353 1.3593 5.7237 Fe
0.9963 3.0442 1.4394 Fe
2.7480 -0.3920 2.2123 Fe
-0.3180 6.9159 6.9472 Fe
1.4337 3.4797 7.7201 Fe
4.5653 5.1646 3.4358 Fe
-2.1304 -0.2902 6.5599 F
-0.5189 1.9628 1.3566 F
-0.8680 1.3713 4.3531 F
-1.8593 2.6978 6.9471 F
0.5154 4.6207 0.6459 F
-0.7876 4.9372 4.2392 F
-1.8356 5.8492 6.9304 F
0.5835 7.3806 0.5392 F
1.2959 0.5613 2.9258 F
2.4358 2.2780 0.5879 F
1.0179 0.1051 5.8942 F
1.3804 3.3538 3.2345 F
1.0496 3.1701 5.9250 F
1.4121 6.4188 3.2653 F
-0.0058 4.2459 8.5716 F
1.1341 5.9626 6.2337 F
1.8465 -0.8567 8.6203 F
4.2656 0.6747 2.2291 F
3.2176 1.5867 4.9203 F
1.9146 1.9032 8.5136 F
4.2893 3.8261 2.2124 F
3.2980 5.1526 4.8064 F
2.9489 4.5610 7.8028 F
4.5604 6.8141 2.5996 F
```

Main lines, by angle (10° ≤ 2θ ≤ 80°):
Position (°2θ)	d/Å	I (rel.)
19.21	4.619	41
19.38	4.580	33
19.51	4.550	35
19.73	4.499	41
22.79	3.901	100
24.03	3.703	90
26.02	3.425	50
26.43	3.372	83
27.30	3.267	34
52.50	1.743	29

=====

Record 2
This entry pairs a crystal structure of Cr2NiO4 with its computed X-ray diffraction stick pattern. Radiation: Cu Kα (λ = 1.5418 Å). Structure: a crystal structure in the Materials Project, relaxed with PBE+U.
Peak positions follow from Bragg's law for the DFT cell and can differ from measured ones.

Structure:
```
Cr2NiO4
1.0
5.9667 0.0000 0.0000
-2.9548 5.1886 0.0000
-2.9429 -1.6855 4.9177
Cr Ni O
4 2 8
Cartesian
0.0000 0.0000 0.0000 Cr
-1.4704 -0.8425 2.4679 Cr
0.0368 -1.6829 4.9177 Cr
1.5081 2.5999 0.0040 Cr
-1.4550 2.5895 1.8518 Ni
1.5392 0.8977 3.0539 Ni
-4.4114 2.7747 3.7630 O
-2.8115 -0.0224 3.7725 O
1.4834 0.8730 1.0473 O
-0.0926 -0.0346 3.7423 O
-1.4305 2.6453 3.8554 O
0.1647 3.5601 1.2033 O
4.4721 0.7000 1.1692 O
2.8840 3.5429 1.1859 O
```

Main lines, by angle (10° ≤ 2θ ≤ 80°):
Position (°2θ)	d/Å	I (rel.)
29.75	3.003	30
29.93	2.985	43
34.81	2.577	40
35.09	2.558	100
35.21	2.549	61
35.35	2.539	40
42.83	2.111	25
56.53	1.628	31
61.42	1.509	18
62.20	1.493	52

=====

Record 3
This entry pairs a crystal structure of Na4FeNiP3O12 with its computed X-ray diffraction stick pattern. Radiation: Cu Kα (λ = 1.5418 Å). Structure: a crystal structure in the Materials Project, relaxed with PBE+U.
Peak positions follow from Bragg's law for the DFT cell and can differ from measured ones.

Structure:
```
Na4FeNiP3O12
1.0
4.4807 2.5869 7.2033
-4.4807 2.5869 7.2033
0.0000 -5.1738 7.2033
Na Fe Ni P O
8 2 2 6 24
Cartesian
0.0000 0.0000 0.0000 Na
-1.2076 -2.5492 9.0240 Na
-2.8768 -0.2665 12.6256 Na
-1.6039 2.3204 9.0240 Na
0.0000 0.0000 10.8049 Na
1.6692 -2.3582 12.6256 Na
2.8115 0.2288 9.0240 Na
1.2076 2.6246 12.6256 Na
0.0000 0.0000 3.2657 Fe
0.0000 0.0000 14.0707 Fe
0.0000 0.0000 7.6391 Ni
0.0000 0.0000 18.4440 Ni
-3.1633 -0.2929 9.0680 P
-1.3174 -2.8799 12.6697 P
1.8353 -2.5930 9.0680 P
-1.8353 2.5808 12.6697 P
1.3279 2.8859 9.0680 P
3.1528 0.2990 12.6697 P
-3.4522 -1.1185 10.3210 O
-3.8355 1.1268 9.0983 O
-2.8533 -2.7139 12.5887 O
-0.7575 -1.6249 6.7193 O
-0.7162 -3.5605 11.3955 O
-1.6273 -0.1269 8.9871 O
0.9419 -3.8850 9.0983 O
-1.0285 1.4685 6.7193 O
-2.7254 2.4005 11.3955 O
-0.6452 -1.4601 12.7000 O
0.9236 -1.3459 8.9871 O
-1.7553 -0.1864 14.9971 O
1.7859 0.1564 6.7193 O
-0.9419 1.2888 12.7000 O
0.7037 1.4728 8.9871 O
2.6947 -2.4305 10.3210 O
1.0391 -1.4269 14.9971 O
-0.9236 3.8280 12.5887 O
1.5871 0.1713 12.7000 O
0.7575 3.5489 10.3210 O
0.7162 1.6134 14.9971 O
2.8936 2.7582 9.0983 O
3.7769 -1.1141 12.5887 O
3.4416 1.1600 11.3955 O
```

Main lines, by angle (10° ≤ 2θ ≤ 80°):
Position (°2θ)	d/Å	I (rel.)
19.81	4.481	23
20.03	4.434	43
23.38	3.805	34
28.32	3.152	21
30.76	2.907	24
31.88	2.807	100
34.68	2.587	60
47.81	1.902	37
54.17	1.693	19
60.40	1.533	23

=====

Record 4
This entry pairs a crystal structure of NiH4SeO5 with its computed X-ray diffraction stick pattern. Radiation: Cu Kα (λ = 1.5418 Å). Structure: a crystal structure in the Materials Project, relaxed with PBE+U.
Peak positions follow from Bragg's law for the DFT cell and can differ from measured ones.

Structure:
```
NiH4SeO5
1.0
6.5022 0.0000 0.0000
0.0000 8.8356 0.0000
-5.2374 0.0000 7.5362
Ni H Se O
4 16 4 20
Cartesian
0.9928 1.2189 0.1373 Ni
-1.6259 3.1989 3.9054 Ni
2.8907 5.6367 3.6307 Ni
0.2720 7.6168 7.3988 Ni
-2.8787 1.1905 4.8359 H
-0.2600 3.2273 1.0679 H
-1.3385 0.6831 4.7575 H
1.2802 3.7348 0.9894 H
-2.1884 4.5688 5.9813 H
0.4303 8.6846 2.2132 H
0.8407 1.2959 2.8049 H
-1.7780 3.1219 6.5729 H
3.0428 5.7137 0.9632 H
0.4241 7.5397 4.7313 H
0.8345 0.1510 5.3229 H
3.4532 4.2668 1.5548 H
-0.0153 5.1009 6.5468 H
2.6034 8.1526 2.7787 H
1.5248 5.6084 6.4683 H
4.1435 7.6451 2.7002 H
-0.2135 5.7876 2.5439 Se
-2.8322 7.4658 6.3120 Se
4.0970 1.3698 1.2242 Se
1.4783 3.0480 4.9923 Se
-3.4140 5.9129 5.7730 O
-0.7953 7.3405 2.0049 O
-1.5470 5.2265 3.5174 O
-4.1657 8.0269 7.2855 O
-2.0179 1.2537 4.3322 O
0.6008 3.1642 0.5641 O
1.1315 0.5577 2.1820 O
-1.4872 3.8601 5.9501 O
-2.2549 1.8033 7.5162 O
0.3639 2.6145 3.7481 O
0.9010 6.2212 3.7880 O
3.5197 7.0323 0.0199 O
2.7520 4.9756 1.5861 O
0.1333 8.2779 5.3541 O
0.6640 5.6715 6.9720 O
3.2827 7.5820 3.2040 O
5.4305 0.8087 0.2507 O
2.8118 3.6091 4.0187 O
2.0601 1.4951 5.5312 O
4.6788 2.9227 1.7631 O
```

Main lines, by angle (10° ≤ 2θ ≤ 80°):
Position (°2θ)	d/Å	I (rel.)
15.45	5.734	100
22.06	4.030	29
23.34	3.811	32
25.70	3.466	48
29.64	3.014	71
32.64	2.744	35
33.53	2.672	23
35.89	2.502	25
37.63	2.390	27
52.56	1.741	22

=====

- Number 3 is which compound?
  Na4FeNiP3O12